Entry 1:
# CaTi2O5
Simulated PXRD pattern, Cu Kα X-rays. Input: DFT lattice parameters and positions (GGA-PBE).

Most intense lines, 2θ = 10–90°, low angle first:
| 2θ (°) | intensity |
| --- | --- |
| 17.52 | 85 |
| 23.26 | 57 |
| 28.94 | 89 |
| 30.32 | 100 |
| 31.30 | 41 |
| 33.79 | 73 |
| 46.43 | 40 |
| 50.31 | 57 |

Crystal structure
```
data_CaTi2O5
_chemical_formula_sum 'Ca2 Ti4 O10'
_symmetry_space_group_name_H-M 'P m m n'
_symmetry_Int_Tables_number 59
_cell_length_a 3.626
_cell_length_b 11.675
_cell_length_c 5.062
_cell_angle_alpha 90.00
_cell_angle_beta 90.00
_cell_angle_gamma 90.00
loop_
_symmetry_equiv_pos_as_xyz
'x,y,z'
'-x,-y,-z'
'-x+1/2,-y+1/2,z'
'x+1/2,y+1/2,-z'
'x+1/2,-y,-z'
'-x+1/2,y,z'
'-x,y+1/2,-z'
'x,-y+1/2,z'
loop_
_atom_site_label
_atom_site_type_symbol
_atom_site_fract_x
_atom_site_fract_y
_atom_site_fract_z
Ca1 Ca 0.250 0.250 0.140
Ti1 Ti 0.250 0.599 0.398
O1 O 0.250 0.076 0.463
O2 O 0.250 0.628 0.065
O3 O 0.250 0.750 0.549
```


Entry 2:
# CaTi2O6
Simulated PXRD pattern, Cu Kα X-rays. Input: DFT lattice parameters and positions (GGA-PBE).

Most intense lines, 2θ = 10–90°, low angle first:
| 2θ (°) | intensity |
| --- | --- |
| 17.79 | 34 |
| 26.68 | 100 |
| 34.52 | 22 |
| 39.09 | 32 |
| 44.16 | 19 |
| 50.75 | 56 |
| 57.22 | 20 |
| 61.85 | 20 |

Crystal structure
```
data_CaTi2O6
_chemical_formula_sum 'Ca1 Ti2 O6'
_symmetry_space_group_name_H-M 'P -3 1 m'
_symmetry_Int_Tables_number 162
_symmetry_space_group_name_Hall '-P 3 2'
_cell_length_a 5.1967
_cell_length_b 5.1967
_cell_length_c 4.9864
_cell_angle_alpha 90.00
_cell_angle_beta 90.00
_cell_angle_gamma 120.00
loop_
_atom_site_label
_atom_site_type_symbol
_atom_site_fract_x
_atom_site_fract_y
_atom_site_fract_z
Ca1 Ca 0.0000 0.0000 0.0000
Ti1 Ti 0.3333 0.6667 0.5000
O1 O 0.0000 0.3625 0.2887
```


Entry 3:
# CaTi2O6
Simulated PXRD pattern, Cu Kα X-rays. Input: DFT lattice parameters and positions (GGA-PBE).

Most intense lines, 2θ = 10–90°, low angle first:
| 2θ (°) | intensity |
| --- | --- |
| 17.68 | 54 |
| 26.56 | 100 |
| 26.65 | 55 |
| 34.54 | 22 |
| 39.05 | 33 |
| 50.46 | 28 |
| 50.59 | 56 |
| 61.61 | 21 |

Crystal structure
```
data_CaTi2O6
_chemical_formula_sum 'Ca4 Ti8 O24'
_symmetry_space_group_name_H-M 'P 1 21/c 1'
_symmetry_Int_Tables_number 14
_cell_length_a 10.030
_cell_length_b 8.979
_cell_length_c 5.225
_cell_angle_alpha 90.00
_cell_angle_beta 90.10
_cell_angle_gamma 90.00
loop_
_symmetry_equiv_pos_as_xyz
'x,y,z'
'-x,-y,-z'
'-x,y+1/2,-z+1/2'
'x,-y+1/2,z+1/2'
loop_
_atom_site_label
_atom_site_type_symbol
_atom_site_fract_x
_atom_site_fract_y
_atom_site_fract_z
Ca1 Ca 0.250 0.004 0.007
Ti1 Ti 0.010 0.162 0.508
Ti2 Ti 0.488 0.677 0.999
O1 O 0.102 0.180 0.831
O2 O 0.104 0.677 0.324
O3 O 0.109 0.001 0.370
O4 O 0.385 0.682 0.688
O5 O 0.397 0.004 0.641
O6 O 0.404 0.175 0.186
```


Entry 4:
# CaTi2O4
Simulated PXRD pattern, Cu Kα X-rays. Input: DFT lattice parameters and positions (GGA-PBE).

Most intense lines, 2θ = 10–90°, low angle first:
| 2θ (°) | intensity |
| --- | --- |
| 28.08 | 48 |
| 32.99 | 48 |
| 33.47 | 45 |
| 33.65 | 100 |
| 33.98 | 49 |
| 40.79 | 50 |
| 57.97 | 50 |
| 59.66 | 45 |

Crystal structure
```
data_CaTi2O4
_chemical_formula_sum 'Ca12 Ti24 O48'
_symmetry_space_group_name_H-M 'C 1 m 1'
_symmetry_Int_Tables_number 8
_cell_length_a 11.137
_cell_length_b 6.177
_cell_length_c 15.236
_cell_angle_alpha 90.00
_cell_angle_beta 91.05
_cell_angle_gamma 90.00
loop_
_symmetry_equiv_pos_as_xyz
'x,y,z'
'x,-y,z'
'x+1/2,y+1/2,z'
'x+1/2,-y+1/2,z'
loop_
_atom_site_label
_atom_site_type_symbol
_atom_site_fract_x
_atom_site_fract_y
_atom_site_fract_z
Ca1 Ca 0.000 0.000 0.000
Ca2 Ca 0.001 0.500 0.501
Ca3 Ca 0.168 0.500 0.333
Ca4 Ca 0.329 0.500 0.161
Ca5 Ca 0.333 0.000 0.667
Ca6 Ca 0.337 0.500 0.795
Ti1 Ti 0.012 0.500 0.873
Ti2 Ti 0.088 0.249 0.671
Ti3 Ti 0.164 0.000 0.456
Ti4 Ti 0.172 0.000 0.211
Ti5 Ti 0.175 0.000 0.840
Ti6 Ti 0.248 0.224 0.992
Ti7 Ti 0.341 0.500 0.545
Ti8 Ti 0.418 0.255 0.332
Ti9 Ti 0.496 0.000 0.122
O1 O 0.007 0.000 0.254
O2 O 0.012 0.500 0.749
O3 O 0.027 0.000 0.746
O4 O 0.077 0.234 0.412
O5 O 0.092 0.248 0.911
O6 O 0.153 0.500 0.078
O7 O 0.158 0.000 0.582
O8 O 0.177 0.500 0.594
O9 O 0.178 0.000 0.083
O10 O 0.228 0.224 0.752
O11 O 0.261 0.234 0.254
O12 O 0.314 0.500 0.939
O13 O 0.328 0.000 0.412
O14 O 0.344 0.000 0.908
O15 O 0.346 0.500 0.417
O16 O 0.409 0.229 0.077
O17 O 0.430 0.270 0.592
O18 O 0.491 0.000 0.249
```


Entry 5:
# CaTiO2
Simulated PXRD pattern, Cu Kα X-rays. Input: DFT lattice parameters and positions (GGA-PBE).

Most intense lines, 2θ = 10–90°, low angle first:
| 2θ (°) | intensity |
| --- | --- |
| 13.69 | 100 |
| 15.34 | 25 |
| 28.03 | 32 |
| 30.08 | 30 |
| 31.15 | 34 |
| 31.81 | 35 |
| 33.40 | 42 |
| 41.90 | 38 |

Crystal structure
```
data_CaTiO2
_chemical_formula_sum 'Ca4 Ti4 O8'
_symmetry_space_group_name_H-M 'P 1'
_symmetry_Int_Tables_number 1
_cell_length_a 3.430
_cell_length_b 8.614
_cell_length_c 8.866
_cell_angle_alpha 96.32
_cell_angle_beta 90.34
_cell_angle_gamma 99.59
loop_
_symmetry_equiv_pos_as_xyz
'x,y,z'
loop_
_atom_site_label
_atom_site_type_symbol
_atom_site_fract_x
_atom_site_fract_y
_atom_site_fract_z
Ca1 Ca 0.000 0.000 0.000
Ca2 Ca 0.009 0.968 0.609
Ca3 Ca 0.364 0.650 0.854
Ca4 Ca 0.837 0.588 0.494
Ti1 Ti 0.360 0.627 0.197
Ti2 Ti 0.489 0.948 0.305
Ti3 Ti 0.772 0.357 0.942
Ti4 Ti 0.781 0.292 0.621
O1 O 0.254 0.381 0.539
O2 O 0.294 0.439 0.016
O3 O 0.416 0.763 0.413
O4 O 0.423 0.823 0.090
O5 O 0.567 0.093 0.492
O6 O 0.788 0.488 0.766
O7 O 0.828 0.543 0.240
O8 O 0.886 0.175 0.795
```